Computed powder XRD pattern
Compound: U2SnRu2
Radiation: Cu Kα
Structure: a DFT-relaxed cell (PBE, the Materials Project)
Peak positions follow from Bragg's law for the DFT cell and can differ from measured ones.

Principal peaks in the range 2θ = 5–70°, in order of rising 2θ:
(2 1 0), d = 3.385 Å, 2θ 26.33, intensity 16
(2 0 1), d = 2.573 Å, 2θ 34.87, intensity 23
(2 1 1), d = 2.436 Å, 2θ 36.89, intensity 100
(3 1 0), d = 2.394 Å, 2θ 37.57, intensity 42
(0 0 2), d = 1.754 Å, 2θ 52.13, intensity 12
(4 1 1), d = 1.627 Å, 2θ 56.57, intensity 18
(3 3 1), d = 1.591 Å, 2θ 57.98, intensity 11
(3 1 2), d = 1.415 Å, 2θ 66.02, intensity 17

Atomic structure:
```
U2SnRu2
1.0
7.570 0.000 0.000
0.000 7.570 0.000
0.000 0.000 3.509
U Sn Ru
4 2 4
direct
0.165 0.335 0.000 U
0.335 0.835 0.000 U
0.665 0.165 0.000 U
0.835 0.665 0.000 U
0.000 0.000 0.500 Sn
0.500 0.500 0.500 Sn
0.138 0.638 0.500 Ru
0.362 0.138 0.500 Ru
0.638 0.862 0.500 Ru
0.862 0.362 0.500 Ru
```